# 1
Diffraction record for LaEr4Al. The powder XRD pattern is calculated, not measured: it uses a GGA-PBE-relaxed structure and CuKα.
Kinematic intensities with the Lorentz-polarization factor, no thermal factor.

The 6 most intense peaks (10° ≤ 2θ ≤ 90°), sorted by position:
2theta	I_rel	index
25.8	40	0 4 0
28.8	41	1 3 1
29.6	64	1 1 -2
31.5	83	3 1 -1
32.9	100	2 2 1
35.0	58	1 3 -2

Structural model:
```
data_LaEr4Al
_chemical_formula_sum 'La4 Er16 Al4'
_cell_length_a 8.800
_cell_length_b 13.821
_cell_length_c 6.182
_cell_angle_alpha 90.00
_cell_angle_beta 109.03
_cell_angle_gamma 90.00
_space_group_name_H-M_alt 'C 1 2/c 1'
_space_group_IT_number 15
_space_group_name_Hall '-C 2yc'
loop_
_atom_site_label
_atom_site_fract_x
_atom_site_fract_y
_atom_site_fract_z
La1 0.000 0.099 0.250
Er1 0.101 0.318 0.549
Er2 0.224 0.113 0.870
Al1 0.000 0.499 0.750
```

# 2
Diffraction record for Pr3BeGe2. The powder XRD pattern is calculated, not measured: it uses a GGA-PBE-relaxed structure and CuKα.
Kinematic intensities with the Lorentz-polarization factor, no thermal factor.

The 6 most intense peaks (10° ≤ 2θ ≤ 90°), sorted by position:
2theta	I_rel	index
26.9	30	3 0 2
30.1	31	2 1 2
30.9	100	0 1 3
31.9	71	3 1 1
40.0	26	4 1 2
43.3	28	0 2 0

Structural model:
```
data_Pr3BeGe2
_chemical_formula_sum 'Pr12 Be4 Ge8'
_cell_length_a 11.939
_cell_length_b 4.179
_cell_length_c 11.997
_cell_angle_alpha 90.00
_cell_angle_beta 90.00
_cell_angle_gamma 90.00
_space_group_name_H-M_alt 'P n m a'
_space_group_IT_number 62
_space_group_name_Hall '-P 2ac 2n'
loop_
_atom_site_label
_atom_site_fract_x
_atom_site_fract_y
_atom_site_fract_z
Pr1 0.067 0.250 0.117
Pr2 0.116 0.750 0.559
Pr3 0.199 0.250 0.793
Be1 0.136 0.250 0.362
Ge1 0.042 0.750 0.315
Ge2 0.201 0.750 0.980
```

# 3
Diffraction record for Li2InP2HO8. The powder XRD pattern is calculated, not measured: it uses a GGA-PBE-relaxed structure and CuKα.
Kinematic intensities with the Lorentz-polarization factor, no thermal factor.

The 6 most intense peaks (10° ≤ 2θ ≤ 90°), sorted by position:
2theta	I_rel	index
15.7	100	0 1 1
21.5	34	1 1 0
24.3	83	1 0 1
28.5	89	1 1 -2
29.0	31	1 2 -1
31.7	48	0 2 2

Structural model:
```
data_Li2InP2HO8
_chemical_formula_sum 'Li4 In2 P4 H2 O16'
_cell_length_a 4.875
_cell_length_b 8.390
_cell_length_c 7.845
_cell_angle_alpha 90.00
_cell_angle_beta 103.33
_cell_angle_gamma 90.00
_space_group_name_H-M_alt 'P 1 21 1'
_space_group_IT_number 4
_space_group_name_Hall 'P 2yb'
loop_
_atom_site_label
_atom_site_fract_x
_atom_site_fract_y
_atom_site_fract_z
Li1 0.128 0.000 0.094
Li2 0.360 0.725 0.412
In1 0.246 0.363 0.253
P1 0.113 0.012 0.475
P2 0.390 0.711 0.021
H1 0.277 0.349 0.760
O1 0.016 0.430 0.703
O2 0.109 0.542 0.414
O3 0.163 0.829 0.926
O4 0.249 0.172 0.441
O5 0.257 0.552 0.060
O6 0.341 0.897 0.579
O7 0.383 0.185 0.085
O8 0.477 0.289 0.795
```